Computed X-ray powder pattern
Compound: BaTlCoO3
Radiation: Cu Kα
Structure: a structure optimized by DFT (PBE+U)
No peak broadening, texture or thermal motion is included.

Main lines, low angle first (2θ from 10° to 90°):
13.98°, intensity 35; 22.31°, intensity 63; 27.00°, intensity 100; 27.53°, intensity 66; 32.12°, intensity 72; 35.71°, intensity 45

```
BaTlCoO3
1.0
5.6367 -3.9851 0.0000
5.6367 3.9851 0.0000
-2.2587 0.0000 5.5487
Ba Tl Co O
2 2 2 6
Cartesian
1.9806 0.0000 0.2953 Ba
7.0342 0.0000 5.2534 Ba
3.2486 0.0000 3.9312 Tl
5.7661 0.0000 1.6174 Tl
4.5074 2.6008 2.7743 Co
4.5074 -2.6008 2.7743 Co
-0.1279 0.0000 1.8500 O
3.7801 1.6320 1.4136 O
5.2347 1.6320 4.1350 O
3.7801 -1.6320 1.4136 O
5.2347 -1.6320 4.1350 O
9.1426 0.0000 3.6987 O
```